This entry pairs a crystal structure of Ba3NaMg with its computed powder XRD pattern. Radiation: Cu Kα (λ = 1.5418 Å). Structure: DFT lattice parameters and positions (PBE).

Principal peaks in the range 2θ = 5–70°, by intensity:
hkl, two_theta, I/Imax
1 1 3, 26.80, 100
1 1 1, 20.11, 47
0 2 0, 28.07, 27
2 0 1, 28.18, 27
0 0 3, 21.51, 23
3 1 -1, 48.98, 19
1 1 6, 45.03, 17
2 0 -4, 46.50, 13
0 2 3, 35.64, 13
2 0 4, 35.73, 13

Cell and atoms:
```
10
Lattice="6.3328 0.0000 0.0000 0.0218 6.3570 0.0000 3.1607 0.0015 12.3913" Properties=species:S:1:pos:R:3 pbc="T T T"
Ba 0.0000 0.0000 0.0000
Ba 3.1745 3.1796 9.0797
Ba 3.1791 3.1757 4.5467
Ba 3.1814 3.1771 0.0287
Ba 6.3491 6.3570 9.0507
Ba 6.3545 6.3542 4.5298
Na 3.1853 6.3540 2.2588
Na 6.3429 3.1765 6.8145
Mg 3.1854 6.3571 6.8532
Mg 6.3594 3.1797 2.2191
```


This entry pairs a crystal structure of BaMg6Nb with its computed powder XRD pattern. Radiation: Cu Kα (λ = 1.5418 Å). Structure: DFT lattice parameters and positions (PBE).

Principal peaks in the range 2θ = 5–70°, by intensity:
hkl, two_theta, I/Imax
2 0 1, 35.85, 100
1 0 1, 23.09, 68
1 0 0, 15.52, 31
1 1 0, 27.05, 31
0 0 2, 34.36, 25
2 0 0, 31.33, 25
2 1 1, 45.48, 23
2 2 2, 67.17, 19
2 0 3, 62.51, 19
2 2 0, 55.77, 17

Cell and atoms:
```
8
Lattice="6.5931 0.0000 0.0000 -3.2965 5.7098 0.0000 0.0000 0.0000 5.2202" Properties=species:S:1:pos:R:3 pbc="T T T"
Ba 0.0000 0.0000 0.0000
Mg -1.5028 2.9388 0.0000
Mg 1.7440 1.0069 2.6101
Mg 1.5028 2.9388 0.0000
Mg 0.0000 5.5418 0.0000
Mg 4.8490 1.0069 2.6101
Mg 3.2965 3.6959 2.6101
Nb 0.0000 3.8065 2.6101
```